# CoHgF6
Theoretical powder diffraction line list, copper Kα. Input: a crystal structure in Alexandria, relaxed with GGA+U.
Peak positions follow from Bragg's law for the DFT cell and can differ from measured ones.

Peak list (10 most intense, 2θ from 10° to 80°, sorted by position)
hkl 1 0 1, 2θ = 22.1°, I = 100.0; hkl 1 0 2, 2θ = 27.5°, I = 58.4; hkl 1 0 3, 2θ = 34.8°, I = 36.8; hkl 1 1 0, 2θ = 35.0°, I = 24.6; hkl 1 1 2, 2θ = 39.9°, I = 23.6; hkl 2 0 1, 2θ = 41.7°, I = 24.1; hkl 2 0 2, 2θ = 45.0°, I = 13.5; hkl 2 -1 4, 2θ = 52.5°, I = 33.4; hkl 3 -1 1, 2θ = 55.5°, I = 17.9; hkl 0 0 6, 2θ = 58.3°, I = 15.4

Structure:
```
data_CoHgF6
_cell_length_a 5.1336
_cell_length_b 5.1336
_cell_length_c 9.4950
_cell_angle_alpha 90.00
_cell_angle_beta 90.00
_cell_angle_gamma 120.00
_space_group_name_H-M_alt 'P -3 1 c'
_space_group_IT_number 163
_space_group_name_Hall '-P 3 2c'
loop_
_atom_site_label
_atom_site_type_symbol
_atom_site_fract_x
_atom_site_fract_y
_atom_site_fract_z
_atom_site_occupancy
Co1 Co 0.0000 0.0000 0.0000 1
Hg1 Hg 0.3333 0.6667 0.2500 1
F1 F 0.0225 0.3001 0.6096 1
```